# RbMoIO6
Theoretical PXRD pattern, a wavelength of 1.5418 Å. Input: the PBE+U geometry in Alexandria.
Peak positions follow from Bragg's law for the DFT cell and can differ from measured ones.

Structural model:
```
data_RbMoIO6
_chemical_formula_sum 'Rb4 Mo4 I4 O24'
_cell_length_a 7.827
_cell_length_b 10.488
_cell_length_c 7.492
_cell_angle_alpha 90.00
_cell_angle_beta 90.00
_cell_angle_gamma 90.00
_symmetry_space_group_name_H-M 'P n a 21'
_symmetry_Int_Tables_number 33
loop_
_symmetry_equiv_pos_as_xyz
'x,y,z'
'-x,-y,z+1/2'
'-x+1/2,y+1/2,z+1/2'
'x+1/2,-y+1/2,z'
loop_
_atom_site_label
_atom_site_type_symbol
_atom_site_fract_x
_atom_site_fract_y
_atom_site_fract_z
Rb1 Rb 0.013 0.121 0.000
Mo1 Mo 0.007 0.472 0.227
I1 I 0.224 0.740 0.062
O1 O 0.064 0.517 0.971
O2 O 0.069 0.157 0.550
O3 O 0.136 0.649 0.666
O4 O 0.141 0.658 0.265
O5 O 0.199 0.389 0.265
O6 O 0.218 0.388 0.680
```

Largest 6 diffraction maxima, in order of falling intensity, 2θ from 5° to 70°:
(2 1 1), 27.1°, I 100
(1 1 2), 27.7°, I 82
(2 2 0), 28.5°, I 68
(0 3 1), 28.2°, I 59
(2 4 2), 48.3°, I 45
(0 1 1), 14.5°, I 42